[1]
Simulated PXRD pattern
Compound: NdFe2PN
Radiation: a wavelength of 1.5418 Å
Structure: a DFT-relaxed cell (GGA-PBE, Alexandria)
Intensities are scaled so that the largest is 100.

Principal peaks in the range 5° ≤ 2θ ≤ 70°, by intensity:
hkl 1 1 2, 2θ = 37.04°, rel. 100
hkl 1 3 1, 2θ = 37.77°, rel. 47
hkl 1 3 0, 2θ = 35.27°, rel. 47
hkl 0 4 1, 2θ = 36.61°, rel. 44
hkl 0 2 2, 2θ = 31.43°, rel. 28
hkl 2 0 0, 2θ = 49.37°, rel. 24
hkl 0 2 3, 2θ = 43.66°, rel. 20
hkl 1 5 3, 2θ = 65.71°, rel. 19
hkl 2 4 1, 2θ = 63.01°, rel. 17
hkl 1 3 3, 2θ = 54.36°, rel. 17

Crystal structure
```
data_NdFe2PN
_space_group_name_H-M_alt 'C m c m'
_space_group_IT_number 63
_space_group_name_Hall '-C 2c 2'
_cell_length_a 3.692
_cell_length_b 10.535
_cell_length_c 6.765
_cell_angle_alpha 90.00
_cell_angle_beta 90.00
_cell_angle_gamma 90.00
loop_
_atom_site_label
_atom_site_type_symbol
_atom_site_fract_x
_atom_site_fract_y
_atom_site_fract_z
_atom_site_occupancy
Nd1 Nd 0.000 0.048 0.250 1
Fe1 Fe 0.000 0.334 0.055 1
P1 P 0.000 0.228 0.750 1
N1 N 0.000 0.500 0.000 1
```

=====

[2]
Simulated PXRD pattern
Compound: TcRhF2
Radiation: a wavelength of 1.5418 Å
Structure: a DFT-relaxed cell (GGA-PBE, Alexandria)
Intensities are scaled so that the largest is 100.

Principal peaks in the range 5° ≤ 2θ ≤ 70°, by intensity:
hkl 0 1 2, 2θ = 39.44°, rel. 100
hkl 0 0 6, 2θ = 21.27°, rel. 90
hkl 1 0 4, 2θ = 41.45°, rel. 62
hkl 1 0 10, 2θ = 53.80°, rel. 35
hkl 0 1 8, 2θ = 48.79°, rel. 34
hkl 0 0 12, 2θ = 43.31°, rel. 28
hkl 0 1 14, 2θ = 65.85°, rel. 22
hkl 0 0 18, 2θ = 67.22°, rel. 4
hkl 1 0 7, 2θ = 46.60°, rel. 2
hkl 0 1 5, 2θ = 42.90°, rel. 2

Crystal structure
```
data_TcRhF2
_space_group_name_H-M_alt 'R -3 m'
_space_group_IT_number 166
_space_group_name_Hall '-R 3 2"'
_cell_length_a 2.6829
_cell_length_b 2.6829
_cell_length_c 25.0681
_cell_angle_alpha 90.00
_cell_angle_beta 90.00
_cell_angle_gamma 120.00
loop_
_atom_site_label
_atom_site_type_symbol
_atom_site_fract_x
_atom_site_fract_y
_atom_site_fract_z
_atom_site_occupancy
Tc1 Tc 0.0000 0.0000 0.0000 1
Rh1 Rh 0.0000 0.0000 0.5000 1
F1 F 0.0000 0.0000 0.0779 1
```

=====

[3]
Simulated PXRD pattern
Compound: NaNd2Bi
Radiation: a wavelength of 1.5418 Å
Structure: a DFT-relaxed cell (GGA-PBE, Alexandria)
Intensities are scaled so that the largest is 100.

Principal peaks in the range 5° ≤ 2θ ≤ 70°, by intensity:
hkl 1 1 1, 2θ = 31.26°, rel. 100
hkl 2 0 0, 2θ = 34.56°, rel. 38
hkl 3 1 1, 2θ = 59.88°, rel. 32
hkl 1 0 0, 2θ = 17.08°, rel. 25
hkl 2 0 2, 2θ = 53.43°, rel. 22
hkl 1 0 1, 2θ = 25.98°, rel. 19
hkl 2 2 0, 2θ = 49.68°, rel. 14
hkl 0 0 2, 2θ = 39.44°, rel. 13
hkl 2 2 2, 2θ = 65.21°, rel. 12
hkl 1 1 3, 2θ = 66.46°, rel. 12

Crystal structure
```
data_NaNd2Bi
_space_group_name_H-M_alt 'P 4/m m m'
_space_group_IT_number 123
_space_group_name_Hall '-P 4 2'
_cell_length_a 5.190
_cell_length_b 5.190
_cell_length_c 4.569
_cell_angle_alpha 90.00
_cell_angle_beta 90.00
_cell_angle_gamma 90.00
loop_
_atom_site_label
_atom_site_type_symbol
_atom_site_fract_x
_atom_site_fract_y
_atom_site_fract_z
_atom_site_occupancy
Na1 Na 0.000 0.000 0.000 1
Nd1 Nd 0.000 0.500 0.500 1
Bi1 Bi 0.500 0.500 0.000 1
```

=====

[4]
Simulated PXRD pattern
Compound: Pm4SnTeC
Radiation: a wavelength of 1.5418 Å
Structure: a DFT-relaxed cell (GGA-PBE, Alexandria)
Intensities are scaled so that the largest is 100.

Principal peaks in the range 5° ≤ 2θ ≤ 70°, by intensity:
hkl 2 4 0, 2θ = 33.79°, rel. 100
hkl 2 2 0, 2θ = 27.68°, rel. 68
hkl 2 0 2, 2θ = 36.15°, rel. 60
hkl 2 6 2, 2θ = 49.91°, rel. 34
hkl 0 6 0, 2θ = 33.22°, rel. 27
hkl 2 10 0, 2θ = 63.26°, rel. 26
hkl 2 4 4, 2θ = 63.46°, rel. 16
hkl 4 4 2, 2θ = 63.57°, rel. 16
hkl 0 2 0, 2θ = 10.94°, rel. 14
hkl 2 0 0, 2θ = 25.35°, rel. 14

Crystal structure
```
data_Pm4SnTeC
_space_group_name_H-M_alt 'C m c m'
_space_group_IT_number 63
_space_group_name_Hall '-C 2c 2'
_cell_length_a 7.017
_cell_length_b 16.182
_cell_length_c 7.038
_cell_angle_alpha 90.00
_cell_angle_beta 90.00
_cell_angle_gamma 90.00
loop_
_atom_site_label
_atom_site_type_symbol
_atom_site_fract_x
_atom_site_fract_y
_atom_site_fract_z
_atom_site_occupancy
Pm1 Pm 0.000 0.090 0.250 1
Pm2 Pm 0.000 0.407 0.250 1
Pm3 Pm 0.250 0.250 0.000 1
Sn1 Sn 0.000 0.109 0.750 1
Te1 Te 0.000 0.390 0.750 1
C1 C 0.000 0.249 0.250 1
```

=====

[5]
Simulated PXRD pattern
Compound: Mg3Sc3Zn2
Radiation: a wavelength of 1.5418 Å
Structure: a DFT-relaxed cell (GGA-PBE, Alexandria)
Intensities are scaled so that the largest is 100.

Principal peaks in the range 5° ≤ 2θ ≤ 70°, by intensity:
hkl 0 1 8, 2θ = 36.82°, rel. 100
hkl 1 1 0, 2θ = 37.03°, rel. 99
hkl 2 0 8, 2θ = 53.21°, rel. 32
hkl 1 2 8, 2θ = 66.60°, rel. 31
hkl 0 1 2, 2θ = 22.41°, rel. 24
hkl 1 0 16, 2θ = 66.18°, rel. 16
hkl 3 0 0, 2θ = 66.73°, rel. 16
hkl 1 1 6, 2θ = 43.65°, rel. 13
hkl 0 0 6, 2θ = 22.24°, rel. 9
hkl 1 0 10, 2θ = 43.44°, rel. 4

Crystal structure
```
data_Mg3Sc3Zn2
_space_group_name_H-M_alt 'R 3 m'
_space_group_IT_number 160
_space_group_name_Hall 'R 3 -2"'
_cell_length_a 4.8555
_cell_length_b 4.8555
_cell_length_c 23.9843
_cell_angle_alpha 90.00
_cell_angle_beta 90.00
_cell_angle_gamma 120.00
loop_
_atom_site_label
_atom_site_type_symbol
_atom_site_fract_x
_atom_site_fract_y
_atom_site_fract_z
_atom_site_occupancy
Mg1 Mg 0.0000 0.0000 0.0000 1
Mg2 Mg 0.0000 0.0000 0.1247 1
Mg3 Mg 0.0000 0.0000 0.4984 1
Sc1 Sc 0.0000 0.0000 0.3745 1
Sc2 Sc 0.0000 0.0000 0.6230 1
Sc3 Sc 0.0000 0.0000 0.8741 1
Zn1 Zn 0.0000 0.0000 0.2506 1
Zn2 Zn 0.0000 0.0000 0.7469 1
```

=====

[6]
Simulated PXRD pattern
Compound: Ba2TaAl
Radiation: a wavelength of 1.5418 Å
Structure: a DFT-relaxed cell (GGA-PBE, Alexandria)
Intensities are scaled so that the largest is 100.

Principal peaks in the range 5° ≤ 2θ ≤ 70°, by intensity:
hkl 4 0 -1, 2θ = 27.35°, rel. 100
hkl 3 1 1, 2θ = 37.72°, rel. 94
hkl 1 1 0, 2θ = 22.82°, rel. 91
hkl 2 0 0, 2θ = 9.12°, rel. 59
hkl 3 1 -1, 2θ = 34.01°, rel. 58
hkl 6 0 0, 2θ = 27.60°, rel. 53
hkl 4 2 -1, 2θ = 53.99°, rel. 48
hkl 7 1 0, 2θ = 39.64°, rel. 38
hkl 0 2 0, 2θ = 45.61°, rel. 17
hkl 9 1 1, 2θ = 58.24°, rel. 16

Crystal structure
```
data_Ba2TaAl
_space_group_name_H-M_alt 'C 1 2/m 1'
_space_group_IT_number 12
_cell_length_a 19.747
_cell_length_b 3.978
_cell_length_c 3.776
_cell_angle_alpha 90.00
_cell_angle_beta 100.87
_cell_angle_gamma 90.00
loop_
_space_group_symop_operation_xyz
'x,y,z'
'-x,-y,-z'
'-x,y,-z'
'x,-y,z'
'x+1/2,y+1/2,z'
'-x+1/2,-y+1/2,-z'
'-x+1/2,y+1/2,-z'
'x+1/2,-y+1/2,z'
loop_
_atom_site_label
_atom_site_type_symbol
_atom_site_fract_x
_atom_site_fract_y
_atom_site_fract_z
_atom_site_occupancy
Ba1 Ba 0.150 0.000 0.147 1
Ta1 Ta 0.000 0.000 0.500 1
Al1 Al 0.000 0.500 0.000 1
```

=====

[7]
Simulated PXRD pattern
Compound: LiPdCl
Radiation: a wavelength of 1.5418 Å
Structure: a DFT-relaxed cell (GGA-PBE, Alexandria)
Intensities are scaled so that the largest is 100.

Principal peaks in the range 5° ≤ 2θ ≤ 70°, by intensity:
hkl 0 2 0, 2θ = 10.49°, rel. 100
hkl 1 1 0, 2θ = 23.23°, rel. 85
hkl 1 5 1, 2θ = 42.93°, rel. 54
hkl 0 4 1, 2θ = 32.15°, rel. 40
hkl 1 3 1, 2θ = 36.96°, rel. 28
hkl 0 6 1, 2θ = 40.27°, rel. 17
hkl 2 4 1, 2θ = 57.37°, rel. 15
hkl 1 1 2, 2θ = 55.02°, rel. 15
hkl 2 0 0, 2θ = 46.17°, rel. 10
hkl 1 9 0, 2θ = 54.24°, rel. 10

Crystal structure
```
data_LiPdCl
_space_group_name_H-M_alt 'C m c m'
_space_group_IT_number 63
_space_group_name_Hall '-C 2c 2'
_cell_length_a 3.933
_cell_length_b 16.859
_cell_length_c 3.709
_cell_angle_alpha 90.00
_cell_angle_beta 90.00
_cell_angle_gamma 90.00
loop_
_atom_site_label
_atom_site_type_symbol
_atom_site_fract_x
_atom_site_fract_y
_atom_site_fract_z
_atom_site_occupancy
Li1 Li 0.000 0.075 0.250 1
Pd1 Pd 0.000 0.445 0.250 1
Cl1 Cl 0.000 0.347 0.750 1
```

=====

[8]
Simulated PXRD pattern
Compound: LiCaAcGa2
Radiation: a wavelength of 1.5418 Å
Structure: a DFT-relaxed cell (GGA-PBE, Alexandria)
Intensities are scaled so that the largest is 100.

Principal peaks in the range 5° ≤ 2θ ≤ 70°, by intensity:
hkl 1 2 1, 2θ = 33.77°, rel. 100
hkl 0 1 0, 2θ = 13.27°, rel. 61
hkl 1 1 1, 2θ = 24.31°, rel. 46
hkl 2 0 0, 2θ = 30.28°, rel. 38
hkl 0 0 2, 2θ = 27.31°, rel. 34
hkl 0 1 2, 2θ = 30.48°, rel. 34
hkl 2 0 2, 2θ = 41.23°, rel. 24
hkl 2 1 2, 2θ = 43.50°, rel. 24
hkl 3 2 1, 2θ = 56.05°, rel. 23
hkl 1 3 1, 2θ = 45.75°, rel. 23

Crystal structure
```
data_LiCaAcGa2
_space_group_name_H-M_alt 'P m m a'
_space_group_IT_number 51
_cell_length_a 5.904
_cell_length_b 6.674
_cell_length_c 6.531
_cell_angle_alpha 90.00
_cell_angle_beta 90.00
_cell_angle_gamma 90.00
loop_
_space_group_symop_operation_xyz
'x,y,z'
'-x,-y,-z'
'-x+1/2,-y,z'
'x+1/2,y,-z'
'x+1/2,-y,-z'
'-x+1/2,y,z'
'-x,y,-z'
'x,-y,z'
loop_
_atom_site_label
_atom_site_type_symbol
_atom_site_fract_x
_atom_site_fract_y
_atom_site_fract_z
_atom_site_occupancy
Li1 Li 0.000 0.000 0.000 1
Ca1 Ca 0.250 0.000 0.414 1
Ac1 Ac 0.250 0.500 0.253 1
Ga1 Ga 0.250 0.280 0.774 1
```